Record 1
This entry pairs a crystal structure of MgMn5Cr2O12 with its simulated powder diffractogram. Radiation: Cu Kα. Structure: DFT lattice parameters and positions (PBE+U).

Crystal structure
a = 5.137 Å, b = 8.980 Å, c = 10.292 Å
α = 90.00°, β = 102.29°, γ = 90.00°
Space group C2 (No. 5)
Symmetry-distinct sites (fractional):
Mg 0.000 0.000 0.000 [2 per cell]
Mn 0.000 0.144 0.500 [2 per cell]
Mn 0.000 0.485 0.500 [2 per cell]
Mn 0.000 0.654 0.000 [2 per cell]
Mn 0.246 0.328 0.760 [4 per cell]
Cr 0.000 0.327 0.000 [2 per cell]
Cr 0.000 0.814 0.500 [2 per cell]
O 0.104 0.325 0.394 [4 per cell]
O 0.105 0.813 0.892 [4 per cell]
O 0.120 0.489 0.898 [4 per cell]
O 0.136 0.649 0.403 [4 per cell]
O 0.141 0.972 0.394 [4 per cell]
O 0.143 0.173 0.893 [4 per cell]

The 10 most intense peaks (2θ from 10° to 80°), by intensity:
41.9°, rel. 100; 17.6°, rel. 88; 43.6°, rel. 44; 23.6°, rel. 26; 62.5°, rel. 25; 20.6°, rel. 25; 61.6°, rel. 23; 35.7°, rel. 21; 37.0°, rel. 20; 19.8°, rel. 18

---

Record 2
This entry pairs a crystal structure of MgMn6O8F4 with its simulated powder diffractogram. Radiation: Cu Kα. Structure: DFT lattice parameters and positions (PBE+U).

Crystal structure
a = 4.984 Å, b = 9.023 Å, c = 5.029 Å
α = 90.00°, β = 90.04°, γ = 90.00°
Space group P2 (No. 3)
Symmetry-distinct sites (fractional):
Mg 0.000 0.000 0.000 [1 per cell]
Mn 0.000 0.000 0.500 [1 per cell]
Mn 0.000 0.320 0.500 [1 per cell]
Mn 0.000 0.681 0.500 [1 per cell]
Mn 0.500 0.192 0.000 [1 per cell]
Mn 0.500 0.500 0.000 [1 per cell]
Mn 0.500 0.807 0.000 [1 per cell]
O 0.149 0.153 0.275 [2 per cell]
O 0.149 0.847 0.276 [2 per cell]
O 0.333 0.338 0.802 [2 per cell]
O 0.333 0.661 0.803 [2 per cell]
F 0.162 0.501 0.309 [2 per cell]
F 0.343 0.000 0.806 [2 per cell]

The 10 most intense peaks (2θ from 10° to 80°), by intensity:
25.2°, rel. 100; 50.7°, rel. 41; 34.8°, rel. 38; 50.9°, rel. 22; 51.6°, rel. 19; 64.0°, rel. 14; 39.3°, rel. 13; 36.0°, rel. 12; 63.5°, rel. 10; 40.4°, rel. 7

---

Record 3
This entry pairs a crystal structure of Sr3CaNdMn5O15 with its simulated powder diffractogram. Radiation: Cu Kα. Structure: DFT lattice parameters and positions (PBE+U).

Crystal structure
a = 5.509 Å, b = 9.426 Å, c = 12.105 Å
α = 97.48°, β = 102.71°, γ = 105.06°
Space group P1 (No. 1)
Symmetry-distinct sites (fractional):
Sr 0.000 0.000 0.000 [1 per cell]
Sr 0.096 0.900 0.300 [1 per cell]
Sr 0.290 0.697 0.900 [1 per cell]
Sr 0.495 0.498 0.504 [1 per cell]
Sr 0.697 0.299 0.100 [1 per cell]
Sr 0.797 0.199 0.398 [1 per cell]
Ca 0.198 0.799 0.602 [1 per cell]
Ca 0.594 0.397 0.800 [1 per cell]
Nd 0.395 0.600 0.204 [1 per cell]
Nd 0.904 0.101 0.700 [1 per cell]
Mn 0.047 0.451 0.652 [1 per cell]
Mn 0.146 0.350 0.949 [1 per cell]
Mn 0.245 0.248 0.251 [1 per cell]
Mn 0.348 0.150 0.552 [1 per cell]
Mn 0.448 0.049 0.849 [1 per cell]
Mn 0.548 0.950 0.151 [1 per cell]
Mn 0.648 0.848 0.453 [1 per cell]
Mn 0.743 0.746 0.749 [1 per cell]
Mn 0.845 0.648 0.049 [1 per cell]
Mn 0.947 0.550 0.353 [1 per cell]
O 0.102 0.903 0.792 [1 per cell]
O 0.111 0.396 0.324 [1 per cell]
O 0.139 0.372 0.792 [1 per cell]
O 0.177 0.330 0.110 [1 per cell]
O 0.181 0.304 0.577 [1 per cell]
O 0.195 0.789 0.101 [1 per cell]
O 0.301 0.700 0.401 [1 per cell]
O 0.309 0.193 0.924 [1 per cell]
O 0.324 0.177 0.396 [1 per cell]
O 0.367 0.133 0.712 [1 per cell]
O 0.384 0.606 0.700 [1 per cell]
O 0.388 0.106 0.178 [1 per cell]
O 0.484 0.505 0.009 [1 per cell]
O 0.508 0.988 0.535 [1 per cell]
O 0.519 0.975 0.991 [1 per cell]
O 0.572 0.920 0.310 [1 per cell]
O 0.593 0.914 0.768 [1 per cell]
O 0.600 0.408 0.297 [1 per cell]
O 0.695 0.784 0.127 [1 per cell]
O 0.700 0.290 0.608 [1 per cell]
O 0.740 0.774 0.593 [1 per cell]
O 0.774 0.727 0.909 [1 per cell]
O 0.778 0.705 0.370 [1 per cell]
O 0.804 0.196 0.890 [1 per cell]
O 0.883 0.579 0.727 [1 per cell]
O 0.896 0.098 0.200 [1 per cell]
O 0.937 0.578 0.194 [1 per cell]
O 0.962 0.497 0.969 [1 per cell]
O 0.974 0.530 0.511 [1 per cell]
O 0.998 0.997 0.510 [1 per cell]

The 10 most intense peaks (2θ from 10° to 80°), by intensity:
32.5°, rel. 100; 33.1°, rel. 53; 58.8°, rel. 36; 47.5°, rel. 34; 45.8°, rel. 22; 57.6°, rel. 21; 40.4°, rel. 21; 68.1°, rel. 10; 69.5°, rel. 9; 76.2°, rel. 8